Entry 1:
The following is a computed X-ray diffraction stick pattern of RbSmHgO3. It was derived from a cell relaxed with PBE, using a wavelength of 1.5418 Å.
Peak positions follow from Bragg's law for the DFT cell and can differ from measured ones.

```
RbSmHgO3
1.0
1.8348 -7.0742 0.0000
1.8348 7.0742 0.0000
0.0000 0.0000 9.1620
Rb Sm Hg O
2 2 2 6
Cartesian
1.8348 4.5063 6.8715 Rb
1.8348 -4.5063 2.2905 Rb
1.8348 0.0000 0.0000 Sm
1.8348 0.0000 4.5810 Sm
1.8348 5.5609 2.2905 Hg
1.8348 -5.5609 6.8715 Hg
1.8348 5.5480 0.2436 O
1.8348 5.5480 4.3375 O
1.8348 0.4045 2.2905 O
1.8348 -0.4045 6.8715 O
1.8348 -5.5480 4.8246 O
1.8348 -5.5480 8.9185 O
```

Peak list (6 most intense, 5° ≤ 2θ ≤ 70°, in order of rising 2θ)
- 2θ = 12.51°, 7.074 Å, I = 43
- 2θ = 15.83°, 5.599 Å, I = 30
- 2θ = 30.87°, 2.896 Å, I = 47
- 2θ = 31.91°, 2.805 Å, I = 100
- 2θ = 32.42°, 2.762 Å, I = 33
- 2θ = 39.34°, 2.291 Å, I = 23

Entry 2:
The following is a computed X-ray diffraction stick pattern of Re2Hg5O10. It was derived from a cell relaxed with PBE, using a wavelength of 1.5418 Å.
Peak positions follow from Bragg's law for the DFT cell and can differ from measured ones.

```
Re2Hg5O10
1.0
6.4437 0.0000 0.0000
0.0000 11.6712 0.0000
-1.1619 0.0000 7.8908
Re Hg O
4 10 20
Cartesian
0.7249 1.8348 0.1126 Re
0.1440 4.0008 4.0580 Re
5.1378 7.6704 3.8327 Re
4.5568 9.8364 7.7781 Re
-0.5810 0.0000 3.9454 Hg
0.0000 5.8356 0.0000 Hg
2.2322 8.3978 1.3355 Hg
1.6512 9.1089 5.2809 Hg
2.4055 1.0075 5.4942 Hg
2.9864 4.8280 1.5488 Hg
2.2953 6.8431 6.3420 Hg
2.8763 10.6636 2.3966 Hg
3.6305 2.5623 2.6098 Hg
3.0496 3.2733 6.5552 Hg
-0.6949 0.9006 6.5435 O
-0.1140 4.9349 2.5981 O
0.2225 7.8919 3.0068 O
-0.3585 9.6148 6.9522 O
0.7565 2.4096 3.6254 O
0.1755 3.4259 7.5708 O
1.9218 6.4385 0.4579 O
1.3409 11.0682 4.4033 O
1.9213 1.0461 1.1334 O
1.3403 4.7895 5.0788 O
3.9415 6.8816 2.8120 O
3.3605 10.6251 6.7573 O
3.9409 0.6029 3.4875 O
3.3599 5.2326 7.4329 O
5.1063 8.2452 0.3200 O
4.5253 9.2615 4.2654 O
5.6403 2.0563 0.9386 O
5.0593 3.7793 4.8840 O
5.3957 6.7362 5.2926 O
5.9767 10.7705 1.3472 O
```

Peak list (6 most intense, 5° ≤ 2θ ≤ 70°, in order of rising 2θ)
- 2θ = 24.51°, 3.632 Å, I = 38
- 2θ = 24.75°, 3.598 Å, I = 100
- 2θ = 28.32°, 3.151 Å, I = 39
- 2θ = 29.04°, 3.075 Å, I = 43
- 2θ = 29.98°, 2.981 Å, I = 38
- 2θ = 32.72°, 2.737 Å, I = 31

Entry 3:
The following is a computed X-ray diffraction stick pattern of Hg3SO6. It was derived from a cell relaxed with PBE, using a wavelength of 1.5418 Å.
Peak positions follow from Bragg's law for the DFT cell and can differ from measured ones.

```
Hg3SO6
1.0
7.1441 0.0000 0.0000
-3.5721 6.1870 0.0000
0.0000 0.0000 10.0143
Hg S O
9 3 18
Cartesian
-2.5066 4.3415 1.6691 Hg
-0.4313 3.1033 8.1887 Hg
1.0655 1.8455 5.0071 Hg
-0.6689 5.0089 4.8506 Hg
1.1002 4.2618 1.5125 Hg
2.9032 1.1781 1.8256 Hg
3.1407 3.0837 8.5018 Hg
5.0131 0.0000 8.3452 Hg
4.6723 1.9252 5.1637 Hg
-0.8007 1.3868 1.6691 S
1.6013 0.0000 8.3452 S
2.7714 4.8002 5.0071 S
-2.8081 5.2349 9.1178 O
-0.5917 2.5227 0.7114 O
-0.6306 2.9670 5.5069 O
0.4426 1.1377 2.4416 O
0.7639 0.9521 7.5727 O
-1.0915 5.4381 7.3876 O
-0.6873 5.2496 2.1688 O
2.4805 0.7489 9.3029 O
2.8847 0.9374 4.5074 O
1.3179 4.1575 8.8450 O
1.6832 4.4132 4.0495 O
2.9415 3.2200 1.1693 O
2.9804 3.6643 5.9648 O
2.3655 6.0015 5.7797 O
5.9376 0.1855 0.8965 O
4.8900 2.0296 7.8455 O
5.2553 1.7738 2.6267 O
4.0147 5.0494 4.2346 O
```

Peak list (6 most intense, 5° ≤ 2θ ≤ 70°, in order of rising 2θ)
- 2θ = 16.84°, 5.263 Å, I = 20
- 2θ = 26.71°, 3.338 Å, I = 47
- 2θ = 30.24°, 2.956 Å, I = 100
- 2θ = 34.07°, 2.632 Å, I = 58
- 2θ = 46.67°, 1.946 Å, I = 32
- 2θ = 58.62°, 1.575 Å, I = 24

Entry 4:
The following is a computed X-ray diffraction stick pattern of Hg2SO. It was derived from a cell relaxed with PBE, using a wavelength of 1.5418 Å.
Peak positions follow from Bragg's law for the DFT cell and can differ from measured ones.

```
Hg2SO
1.0
3.8594 0.0000 0.0000
-1.9297 3.3424 0.0000
0.0000 0.0000 12.4190
Hg S O
4 2 2
Cartesian
0.0000 0.0000 0.0000 Hg
0.0000 0.0000 6.2095 Hg
0.0000 2.2282 3.2345 Hg
1.9297 1.1141 9.4440 Hg
0.0000 2.2282 7.5949 S
1.9297 1.1141 1.3854 S
0.0000 0.0000 4.0269 O
0.0000 0.0000 10.2364 O
```

Peak list (6 most intense, 5° ≤ 2θ ≤ 70°, in order of rising 2θ)
- 2θ = 27.64°, 3.228 Å, I = 38
- 2θ = 28.75°, 3.105 Å, I = 31
- 2θ = 30.37°, 2.943 Å, I = 100
- 2θ = 34.49°, 2.601 Å, I = 35
- 2θ = 47.09°, 1.930 Å, I = 37
- 2θ = 56.12°, 1.639 Å, I = 30

Entry 5:
The following is a computed X-ray diffraction stick pattern of SnHgSO. It was derived from a cell relaxed with PBE, using a wavelength of 1.5418 Å.
Peak positions follow from Bragg's law for the DFT cell and can differ from measured ones.

```
SnHgSO
1.0
5.1556 0.0000 0.0000
0.0000 8.2020 0.0000
0.0000 0.0000 8.5063
Sn Hg S O
4 4 4 4
Cartesian
1.0810 1.0483 3.3817 Sn
1.4968 7.1538 7.6348 Sn
3.6588 3.0527 5.1247 Sn
4.0746 5.1493 0.8715 Sn
1.1994 3.4518 7.8430 Hg
1.3784 4.7502 3.5898 Hg
3.7772 0.6492 0.6633 Hg
3.9562 7.5528 4.9165 Hg
0.1558 5.8285 5.8548 S
2.4220 2.3735 1.6016 S
2.7336 6.4745 2.6515 S
4.9998 1.7275 6.9047 S
0.2270 2.9436 3.8882 O
2.3508 5.2584 8.1413 O
2.8048 1.1574 4.6182 O
4.9286 7.0446 0.3650 O
```

Peak list (6 most intense, 5° ≤ 2θ ≤ 70°, in order of rising 2θ)
- 2θ = 20.35°, 4.365 Å, I = 21
- 2θ = 24.09°, 3.694 Å, I = 25
- 2θ = 27.18°, 3.281 Å, I = 84
- 2θ = 29.75°, 3.003 Å, I = 100
- 2θ = 38.60°, 2.332 Å, I = 34
- 2θ = 52.94°, 1.729 Å, I = 26

Entry 6:
The following is a computed X-ray diffraction stick pattern of SnHgSO. It was derived from a cell relaxed with PBE, using a wavelength of 1.5418 Å.
Peak positions follow from Bragg's law for the DFT cell and can differ from measured ones.

```
SnHgSO
1.0
1.9203 -7.2013 0.0000
1.9203 7.2013 0.0000
0.0000 0.0000 6.8913
Sn Hg S O
2 2 2 2
Cartesian
1.9203 6.2363 5.1685 Sn
1.9203 -6.2363 1.7228 Sn
1.9203 2.1201 5.1685 Hg
1.9203 -2.1201 1.7228 Hg
1.9203 2.4850 1.7228 S
1.9203 -2.4850 5.1685 S
0.0000 0.0000 0.0000 O
0.0000 0.0000 3.4457 O
```

Peak list (6 most intense, 5° ≤ 2θ ≤ 70°, in order of rising 2θ)
- 2θ = 25.86°, 3.446 Å, I = 100
- 2θ = 27.29°, 3.267 Å, I = 98
- 2θ = 27.96°, 3.191 Å, I = 54
- 2θ = 29.79°, 2.999 Å, I = 93
- 2θ = 32.56°, 2.750 Å, I = 72
- 2θ = 39.83°, 2.264 Å, I = 91

Entry 7:
The following is a computed X-ray diffraction stick pattern of SnHgSO. It was derived from a cell relaxed with PBE, using a wavelength of 1.5418 Å.
Peak positions follow from Bragg's law for the DFT cell and can differ from measured ones.

```
SnHgSO
1.0
6.0557 0.0000 0.0000
0.0000 9.7878 0.0000
0.0000 0.0000 5.9719
Sn Hg S O
4 4 4 4
Cartesian
0.0797 1.6889 0.0000 Sn
2.9482 1.6889 2.9860 Sn
3.1075 8.0989 0.0000 Sn
5.9760 8.0989 2.9860 Sn
0.1263 5.7893 5.9350 Hg
2.9015 5.7893 2.9490 Hg
3.1542 3.9985 5.9350 Hg
5.9294 3.9985 2.9490 Hg
0.2188 1.6403 3.1351 S
2.8090 1.6403 0.1492 S
3.2467 8.1475 3.1351 S
5.8369 8.1475 0.1492 S
0.2258 6.0527 3.1735 O
2.8020 6.0527 0.1876 O
3.2536 3.7350 3.1735 O
5.8299 3.7350 0.1876 O
```

Peak list (6 most intense, 5° ≤ 2θ ≤ 70°, in order of rising 2θ)
- 2θ = 9.04°, 9.788 Å, I = 60
- 2θ = 27.79°, 3.210 Å, I = 100
- 2θ = 29.50°, 3.028 Å, I = 50
- 2θ = 29.92°, 2.986 Å, I = 51
- 2θ = 34.65°, 2.588 Å, I = 39
- 2θ = 42.52°, 2.126 Å, I = 36

Entry 8:
The following is a computed X-ray diffraction stick pattern of SrHgSO. It was derived from a cell relaxed with PBE, using a wavelength of 1.5418 Å.
Peak positions follow from Bragg's law for the DFT cell and can differ from measured ones.

```
SrHgSO
1.0
7.3629 0.0000 0.0000
0.0000 3.7999 0.0000
0.0000 0.0000 12.4737
Sr Hg S O
4 4 4 4
Cartesian
0.3468 0.9500 2.9238 Sr
3.3346 2.8499 9.1607 Sr
4.0283 0.9500 3.3131 Sr
7.0161 2.8499 9.5499 Sr
1.6299 2.8499 5.8815 Hg
2.0515 0.9500 12.1184 Hg
5.3113 2.8499 0.3553 Hg
5.7330 0.9500 6.5922 Hg
1.3573 0.9500 7.8783 S
2.3241 2.8499 1.6414 S
5.0388 0.9500 10.8323 S
6.0055 2.8499 4.5955 S
1.6424 2.8499 10.9247 O
2.0390 0.9500 4.6878 O
5.3238 2.8499 7.7859 O
5.7205 0.9500 1.5491 O
```

Peak list (6 most intense, 5° ≤ 2θ ≤ 70°, in order of rising 2θ)
- 2θ = 14.20°, 6.237 Å, I = 36
- 2θ = 27.36°, 3.259 Å, I = 93
- 2θ = 28.15°, 3.170 Å, I = 100
- 2θ = 31.91°, 2.805 Å, I = 46
- 2θ = 34.21°, 2.621 Å, I = 78
- 2θ = 50.27°, 1.815 Å, I = 31

Entry 9:
The following is a computed X-ray diffraction stick pattern of SrHgSO. It was derived from a cell relaxed with PBE, using a wavelength of 1.5418 Å.
Peak positions follow from Bragg's law for the DFT cell and can differ from measured ones.

```
SrHgSO
1.0
6.5742 0.0000 0.0000
0.0000 7.0095 0.0000
0.0000 0.0000 7.5054
Sr Hg S O
4 4 4 4
Cartesian
1.3126 0.4913 3.2274 Sr
1.9744 6.5182 6.9801 Sr
4.5997 3.0134 4.2780 Sr
5.2615 3.9961 0.5253 Sr
1.3364 3.8952 2.6601 Hg
1.9507 3.1143 6.4128 Hg
4.6235 6.6191 4.8452 Hg
5.2378 0.3905 1.0925 Hg
0.0107 5.3116 4.9704 S
3.2764 1.6979 1.2178 S
3.2978 5.2027 2.5349 S
6.5635 1.8069 6.2876 S
0.2346 6.0346 1.1989 O
3.0525 0.9749 4.9515 O
3.5217 4.4797 6.3065 O
6.3395 2.5298 2.5538 O
```

Peak list (6 most intense, 5° ≤ 2θ ≤ 70°, in order of rising 2θ)
- 2θ = 18.50°, 4.795 Å, I = 41
- 2θ = 27.13°, 3.287 Å, I = 30
- 2θ = 27.37°, 3.259 Å, I = 100
- 2θ = 31.28°, 2.859 Å, I = 55
- 2θ = 37.51°, 2.398 Å, I = 31
- 2θ = 37.69°, 2.387 Å, I = 49